Computed X-ray diffraction stick pattern of Np2WO8 for Cu Kα X-rays, from a crystal structure in Alexandria, relaxed with PBE+U.
Kinematic intensities with the Lorentz-polarization factor, no thermal factor.

The 12 most intense peaks (2θ from 5° to 70°), low angle first:
2θ (°), intensity, hkl
11.55, 70.1, 2 0 0
13.77, 20.2, 0 0 1
17.87, 48.8, 2 0 -1
23.22, 63.8, 4 0 0
27.28, 21.9, 4 0 1
29.46, 100.0, 1 1 -1
29.97, 29.5, 2 0 -2
30.31, 37.6, 2 0 2
34.01, 24.6, 3 1 1
41.33, 21.1, 5 1 -1
41.71, 26.4, 3 1 -2
53.33, 21.8, 2 2 0

Atomic structure:
```
data_Np2WO8
_symmetry_space_group_name_H-M 'C 1 2 1'
_symmetry_Int_Tables_number 5
_cell_length_a 15.3229
_cell_length_b 3.5262
_cell_length_c 6.4332
_cell_angle_alpha 90.00
_cell_angle_beta 90.89
_cell_angle_gamma 90.00
loop_
_symmetry_equiv_pos_as_xyz
'x,y,z'
'-x,y,-z'
'x+1/2,y+1/2,z'
'-x+1/2,y+1/2,-z'
loop_
_atom_site_label
_atom_site_type_symbol
_atom_site_fract_x
_atom_site_fract_y
_atom_site_fract_z
_atom_site_occupancy
Np1 Np 0.2272 0.0000 0.2608 1
W1 W 0.0000 0.1790 0.0000 1
O1 O 0.0546 0.5091 0.8381 1
O2 O 0.0932 0.0049 0.1754 1
O3 O 0.1899 0.5015 0.4510 1
O4 O 0.2186 0.9998 0.8766 1
```